(1)
Th3Cd3Ag8: computed powder diffractogram (Cu Kα), based on a cell relaxed with PBE.

Structure:
```
data_Th3Cd3Ag8
_chemical_formula_sum 'Th3 Cd3 Ag8'
_cell_length_a 8.7212
_cell_length_b 8.7212
_cell_length_c 8.7212
_cell_angle_alpha 148.34
_cell_angle_beta 112.89
_cell_angle_gamma 76.10
_symmetry_space_group_name_H-M 'P 1'
_symmetry_Int_Tables_number 1
loop_
_symmetry_equiv_pos_as_xyz
'x,y,z'
loop_
_atom_site_label
_atom_site_type_symbol
_atom_site_fract_x
_atom_site_fract_y
_atom_site_fract_z
Th1 Th 0.0000 0.0000 0.0000
Th2 Th 0.2855 0.2855 0.0000
Th3 Th 0.7145 0.7145 0.0000
Cd1 Cd 0.3183 0.5000 0.8183
Cd2 Cd 0.5000 0.0000 0.5000
Cd3 Cd 0.6817 0.5000 0.1817
Ag1 Ag 0.0182 0.6582 0.3600
Ag2 Ag 0.1458 0.8594 0.2864
Ag3 Ag 0.2982 0.6582 0.6400
Ag4 Ag 0.4271 0.1406 0.2864
Ag5 Ag 0.5729 0.8594 0.7136
Ag6 Ag 0.7018 0.3418 0.3600
Ag7 Ag 0.8542 0.1406 0.7136
Ag8 Ag 0.9818 0.3418 0.6400
```

Top 8 peaks for 10° ≤ 2θ ≤ 90°, in order of falling intensity:
2θ = 32.9°, I 100
2θ = 37.8°, I 67
2θ = 33.5°, I 52
2θ = 33.7°, I 45
2θ = 32.0°, I 40
2θ = 36.2°, I 38
2θ = 50.3°, I 29
2θ = 64.3°, I 26

---

(2)
CuSi2RhAu: computed powder diffractogram (Cu Kα), based on a cell relaxed with PBE.

Structure:
```
data_CuSi2RhAu
_chemical_formula_sum 'Cu1 Si2 Rh1 Au1'
_cell_length_a 4.4423
_cell_length_b 4.4423
_cell_length_c 5.2704
_cell_angle_alpha 90.00
_cell_angle_beta 90.00
_cell_angle_gamma 90.00
_symmetry_space_group_name_H-M 'P 1'
_symmetry_Int_Tables_number 1
loop_
_symmetry_equiv_pos_as_xyz
'x,y,z'
loop_
_atom_site_label
_atom_site_type_symbol
_atom_site_fract_x
_atom_site_fract_y
_atom_site_fract_z
Cu1 Cu 0.0000 0.0000 0.0000
Si1 Si 0.0000 0.5000 0.5000
Si2 Si 0.5000 0.0000 0.5000
Rh1 Rh 0.5000 0.5000 0.5000
Au1 Au 0.5000 0.5000 0.0000
```

Top 8 peaks for 10° ≤ 2θ ≤ 90°, in order of falling intensity:
2θ = 20.0°, I 100
2θ = 28.4°, I 78
2θ = 40.6°, I 56
2θ = 33.2°, I 50
2θ = 54.0°, I 48
2θ = 44.9°, I 45
2θ = 34.0°, I 45
2θ = 39.8°, I 35

---

(3)
Zr2V3Ge4: computed powder diffractogram (Cu Kα), based on a cell relaxed with PBE.

Structure:
```
data_Zr2V3Ge4
_chemical_formula_sum 'Zr8 V12 Ge16'
_cell_length_a 6.6569
_cell_length_b 12.8146
_cell_length_c 6.7710
_cell_angle_alpha 90.00
_cell_angle_beta 90.00
_cell_angle_gamma 90.00
_symmetry_space_group_name_H-M 'P 1'
_symmetry_Int_Tables_number 1
loop_
_symmetry_equiv_pos_as_xyz
'x,y,z'
loop_
_atom_site_label
_atom_site_type_symbol
_atom_site_fract_x
_atom_site_fract_y
_atom_site_fract_z
Zr1 Zr 0.0111 0.0923 0.1723
Zr2 Zr 0.0111 0.4077 0.1723
Zr3 Zr 0.4889 0.5923 0.6723
Zr4 Zr 0.4889 0.9077 0.6723
Zr5 Zr 0.5111 0.0923 0.3277
Zr6 Zr 0.5111 0.4077 0.3277
Zr7 Zr 0.9889 0.5923 0.8277
Zr8 Zr 0.9889 0.9077 0.8277
V1 V 0.1612 0.6255 0.3391
V2 V 0.1612 0.8745 0.3391
V3 V 0.1630 0.2500 0.5098
V4 V 0.3370 0.7500 0.0098
V5 V 0.3388 0.1255 0.8391
V6 V 0.3388 0.3745 0.8391
V7 V 0.6612 0.6255 0.1609
V8 V 0.6612 0.8745 0.1609
V9 V 0.6630 0.2500 0.9902
V10 V 0.8370 0.7500 0.4902
V11 V 0.8388 0.1255 0.6609
V12 V 0.8388 0.3745 0.6609
Ge1 Ge 0.0333 0.2500 0.8726
Ge2 Ge 0.1769 0.0431 0.5465
Ge3 Ge 0.1769 0.4569 0.5465
Ge4 Ge 0.1910 0.7500 0.6438
Ge5 Ge 0.3090 0.2500 0.1438
Ge6 Ge 0.3231 0.5431 0.0465
Ge7 Ge 0.3231 0.9569 0.0465
Ge8 Ge 0.4667 0.7500 0.3726
Ge9 Ge 0.5333 0.2500 0.6274
Ge10 Ge 0.6769 0.0431 0.9535
Ge11 Ge 0.6769 0.4569 0.9535
Ge12 Ge 0.6910 0.7500 0.8562
Ge13 Ge 0.8090 0.2500 0.3562
Ge14 Ge 0.8231 0.5431 0.4535
Ge15 Ge 0.8231 0.9569 0.4535
Ge16 Ge 0.9667 0.7500 0.1274
```

Top 8 peaks for 10° ≤ 2θ ≤ 90°, in order of falling intensity:
2θ = 36.5°, I 100
2θ = 36.7°, I 91
2θ = 42.9°, I 84
2θ = 42.3°, I 43
2θ = 61.3°, I 23
2θ = 41.3°, I 22
2θ = 41.1°, I 19
2θ = 38.7°, I 18